K5Sn4Sb4: simulated X-ray diffraction stick pattern (Cu Kα (weighted mean of Kα1 and Kα2)), based on a cell relaxed with GGA-PBE.

Structure:
```
data_K5Sn4Sb4
_cell_length_a 13.6281
_cell_length_b 13.6281
_cell_length_c 5.1818
_cell_angle_alpha 90.00
_cell_angle_beta 90.00
_cell_angle_gamma 90.00
_space_group_name_H-M_alt 'I 4/m'
_space_group_IT_number 87
_space_group_name_Hall '-I 4'
loop_
_atom_site_label
_atom_site_fract_x
_atom_site_fract_y
_atom_site_fract_z
_atom_site_occupancy
K1 0.0000 0.0000 0.0000 1
K2 0.1391 0.2074 0.5000 1
Sn1 0.0644 0.5984 0.5000 1
Sb1 0.0465 0.7373 0.0000 1
```

Largest 8 diffraction maxima, most intense first, 5 to 70 degrees two-theta:
| h k l | two_theta | intensity |
| --- | --- | --- |
| 2 3 1 | 29.25 | 100 |
| 1 1 0 | 9.18 | 93 |
| 3 4 1 | 37.28 | 60 |
| 4 1 1 | 32.12 | 34 |
| 0 0 2 | 34.62 | 28 |
| 5 1 0 | 33.53 | 21 |
| 2 2 0 | 18.37 | 19 |
| 2 8 0 | 55.58 | 15 |

***

K3Tl2Sn2Sb4: simulated X-ray diffraction stick pattern (Cu Kα (weighted mean of Kα1 and Kα2)), based on a cell relaxed with GGA-PBE.

Structure:
```
data_K3Tl2Sn2Sb4
_cell_length_a 5.3013
_cell_length_b 5.3013
_cell_length_c 16.9071
_cell_angle_alpha 90.00
_cell_angle_beta 90.00
_cell_angle_gamma 120.00
_space_group_name_H-M_alt 'P -3 m 1'
_space_group_IT_number 164
_space_group_name_Hall '-P 3 2"'
loop_
_atom_site_label
_atom_site_fract_x
_atom_site_fract_y
_atom_site_fract_z
_atom_site_occupancy
K1 0.0000 0.0000 0.0000 1
K2 0.0000 0.0000 0.2768 1
Tl1 0.3333 0.6667 0.1391 1
Sn1 0.3333 0.6667 0.5699 1
Sb1 0.3333 0.6667 0.3961 1
Sb2 0.3333 0.6667 0.8609 1
```

Largest 8 diffraction maxima, most intense first, 5 to 70 degrees two-theta:
| h k l | two_theta | intensity |
| --- | --- | --- |
| 1 1 0 | 33.82 | 100 |
| 0 1 4 | 28.71 | 57 |
| 1 0 0 | 19.33 | 48 |
| 1 1 4 | 40.16 | 45 |
| 1 1 7 | 51.17 | 42 |
| 0 0 4 | 21.02 | 39 |
| 0 1 3 | 25.02 | 34 |
| 0 0 3 | 15.72 | 26 |

***

KZnSnSb: simulated X-ray diffraction stick pattern (Cu Kα (weighted mean of Kα1 and Kα2)), based on a cell relaxed with GGA-PBE.

Structure:
```
data_KZnSnSb
_cell_length_a 3.8424
_cell_length_b 3.8424
_cell_length_c 7.6957
_cell_angle_alpha 90.00
_cell_angle_beta 90.00
_cell_angle_gamma 90.00
_space_group_name_H-M_alt 'P 4 m m'
_space_group_IT_number 99
loop_
_space_group_symop_operation_xyz
'x,y,z'
'-y,x,z'
'-x,-y,z'
'y,-x,z'
'-x,y,z'
'y,x,z'
'x,-y,z'
'-y,-x,z'
loop_
_atom_site_label
_atom_site_fract_x
_atom_site_fract_y
_atom_site_fract_z
_atom_site_occupancy
K1 0.0000 0.0000 0.0000 1
Zn1 0.0000 0.0000 0.4818 1
Sn1 0.5000 0.5000 0.6796 1
Sb1 0.5000 0.5000 0.3139 1
```

Largest 8 diffraction maxima, most intense first, 5 to 70 degrees two-theta:
| h k l | two_theta | intensity |
| --- | --- | --- |
| 1 1 0 | 32.95 | 100 |
| 0 0 1 | 11.50 | 35 |
| 1 0 3 | 42.37 | 25 |
| 2 1 2 | 58.86 | 21 |
| 2 1 3 | 65.35 | 17 |
| 0 0 3 | 35.01 | 17 |
| 2 0 0 | 47.31 | 17 |
| 1 0 0 | 23.15 | 16 |

***

KZnSnSb2: simulated X-ray diffraction stick pattern (Cu Kα (weighted mean of Kα1 and Kα2)), based on a cell relaxed with GGA-PBE.

Structure:
```
data_KZnSnSb2
_cell_length_a 17.1760
_cell_length_b 4.5762
_cell_length_c 11.3735
_cell_angle_alpha 90.00
_cell_angle_beta 127.04
_cell_angle_gamma 90.00
_space_group_name_H-M_alt 'C 1 2/m 1'
_space_group_IT_number 12
loop_
_space_group_symop_operation_xyz
'x,y,z'
'-x,-y,-z'
'-x,y,-z'
'x,-y,z'
'x+1/2,y+1/2,z'
'-x+1/2,-y+1/2,-z'
'-x+1/2,y+1/2,-z'
'x+1/2,-y+1/2,z'
loop_
_atom_site_label
_atom_site_fract_x
_atom_site_fract_y
_atom_site_fract_z
_atom_site_occupancy
K1 0.1733 0.0000 0.0952 1
Zn1 0.0389 0.0000 0.6464 1
Sn1 0.1388 0.5000 0.4071 1
Sb1 0.0708 0.5000 0.7961 1
Sb2 0.1825 0.0000 0.6010 1
```

Largest 8 diffraction maxima, most intense first, 5 to 70 degrees two-theta:
| h k l | two_theta | intensity |
| --- | --- | --- |
| 0 0 1 | 9.74 | 100 |
| 1 1 -2 | 25.55 | 87 |
| 5 1 -4 | 38.31 | 59 |
| 0 2 0 | 39.40 | 59 |
| 6 0 -2 | 31.49 | 32 |
| 5 1 -5 | 44.55 | 23 |
| 2 0 -2 | 15.63 | 21 |
| 6 0 -1 | 34.21 | 21 |

***

K5SrSb2: simulated X-ray diffraction stick pattern (Cu Kα (weighted mean of Kα1 and Kα2)), based on a cell relaxed with GGA-PBE.

Structure:
```
data_K5SrSb2
_cell_length_a 6.3610
_cell_length_b 6.3610
_cell_length_c 22.2021
_cell_angle_alpha 90.00
_cell_angle_beta 90.00
_cell_angle_gamma 120.00
_space_group_name_H-M_alt 'P 63/m m c'
_space_group_IT_number 194
_space_group_name_Hall '-P 6c 2c'
loop_
_atom_site_label
_atom_site_fract_x
_atom_site_fract_y
_atom_site_fract_z
_atom_site_occupancy
K1 0.0000 0.0000 0.1229 1
K2 0.3333 0.6667 0.0525 1
K3 0.3333 0.6667 0.2500 1
Sr1 0.3333 0.6667 0.7500 1
Sb1 0.3333 0.6667 0.6083 1
```

Largest 8 diffraction maxima, most intense first, 5 to 70 degrees two-theta:
| h k l | two_theta | intensity |
| --- | --- | --- |
| 1 1 0 | 28.06 | 100 |
| 1 0 1 | 16.58 | 53 |
| 1 0 7 | 32.58 | 43 |
| 1 1 6 | 37.28 | 31 |
| 1 0 0 | 16.09 | 27 |
| 2 1 7 | 52.57 | 24 |
| 2 0 7 | 43.51 | 23 |
| 3 0 0 | 49.65 | 19 |

***

K2TaSb: simulated X-ray diffraction stick pattern (Cu Kα (weighted mean of Kα1 and Kα2)), based on a cell relaxed with GGA-PBE.

Structure:
```
data_K2TaSb
_cell_length_a 4.2900
_cell_length_b 5.2055
_cell_length_c 11.8335
_cell_angle_alpha 90.00
_cell_angle_beta 90.00
_cell_angle_gamma 90.00
_space_group_name_H-M_alt 'C m m 2'
_space_group_IT_number 35
loop_
_space_group_symop_operation_xyz
'x,y,z'
'-x,-y,z'
'-x,y,z'
'x,-y,z'
'x+1/2,y+1/2,z'
'-x+1/2,-y+1/2,z'
'-x+1/2,y+1/2,z'
'x+1/2,-y+1/2,z'
loop_
_atom_site_label
_atom_site_fract_x
_atom_site_fract_y
_atom_site_fract_z
_atom_site_occupancy
K1 0.0000 0.0000 0.0000 1
K2 0.0000 0.5000 0.3653 1
Ta1 0.0000 0.5000 0.7484 1
Sb1 0.0000 0.0000 0.5958 1
```

Largest 8 diffraction maxima, most intense first, 5 to 70 degrees two-theta:
| h k l | two_theta | intensity |
| --- | --- | --- |
| 0 0 1 | 7.47 | 100 |
| 1 1 2 | 30.95 | 29 |
| 1 1 3 | 35.38 | 28 |
| 0 2 0 | 34.46 | 8 |
| 0 0 2 | 14.97 | 6 |
| 1 1 4 | 40.91 | 6 |
| 1 1 5 | 47.21 | 6 |
| 2 0 0 | 42.13 | 5 |

***

K8Sb2Te: simulated X-ray diffraction stick pattern (Cu Kα (weighted mean of Kα1 and Kα2)), based on a cell relaxed with GGA-PBE.

Structure:
```
data_K8Sb2Te
_cell_length_a 8.4165
_cell_length_b 8.4165
_cell_length_c 16.9559
_cell_angle_alpha 90.00
_cell_angle_beta 90.00
_cell_angle_gamma 90.00
_space_group_name_H-M_alt 'I -4 m 2'
_space_group_IT_number 119
_space_group_name_Hall 'I -4 -2'
loop_
_atom_site_label
_atom_site_fract_x
_atom_site_fract_y
_atom_site_fract_z
_atom_site_occupancy
K1 0.2273 0.2307 0.3658 1
Sb1 0.0000 0.0000 0.5000 1
Sb2 0.0000 0.5000 0.2500 1
Te1 0.0000 0.5000 0.7500 1
```

Largest 8 diffraction maxima, most intense first, 5 to 70 degrees two-theta:
| h k l | two_theta | intensity |
| --- | --- | --- |
| 2 0 4 | 29.92 | 100 |
| 1 1 2 | 18.21 | 99 |
| 2 2 0 | 30.03 | 49 |
| 1 0 1 | 11.74 | 45 |
| 3 1 2 | 35.35 | 38 |
| 4 2 4 | 53.25 | 32 |
| 1 1 6 | 35.15 | 19 |
| 0 0 2 | 10.43 | 17 |

***

KSbTe: simulated X-ray diffraction stick pattern (Cu Kα (weighted mean of Kα1 and Kα2)), based on a cell relaxed with GGA-PBE.

Structure:
```
data_KSbTe
_cell_length_a 5.5910
_cell_length_b 4.7917
_cell_length_c 9.1327
_cell_angle_alpha 90.00
_cell_angle_beta 90.29
_cell_angle_gamma 90.00
_space_group_name_H-M_alt 'P 1 2/m 1'
_space_group_IT_number 10
loop_
_space_group_symop_operation_xyz
'x,y,z'
'-x,-y,-z'
'-x,y,-z'
'x,-y,z'
loop_
_atom_site_label
_atom_site_fract_x
_atom_site_fract_y
_atom_site_fract_z
_atom_site_occupancy
K1 0.2466 0.0000 0.1919 1
Sb1 0.2504 0.5000 0.5376 1
Te1 0.2556 0.5000 0.8395 1
```

Largest 8 diffraction maxima, most intense first, 5 to 70 degrees two-theta:
| h k l | two_theta | intensity |
| --- | --- | --- |
| 1 1 -1 | 26.37 | 100 |
| 0 1 0 | 18.53 | 99 |
| 2 0 0 | 32.02 | 41 |
| 0 0 3 | 29.34 | 41 |
| 2 1 0 | 37.24 | 28 |
| 0 2 0 | 37.54 | 27 |
| 0 1 3 | 34.92 | 26 |
| 2 2 0 | 50.15 | 23 |

***

KSb2Te: simulated X-ray diffraction stick pattern (Cu Kα (weighted mean of Kα1 and Kα2)), based on a cell relaxed with GGA-PBE.

Structure:
```
data_KSb2Te
_cell_length_a 3.2674
_cell_length_b 4.3614
_cell_length_c 9.2380
_cell_angle_alpha 90.00
_cell_angle_beta 90.03
_cell_angle_gamma 90.00
_space_group_name_H-M_alt 'P 1 m 1'
_space_group_IT_number 6
loop_
_space_group_symop_operation_xyz
'x,y,z'
'x,-y,z'
loop_
_atom_site_label
_atom_site_fract_x
_atom_site_fract_y
_atom_site_fract_z
_atom_site_occupancy
K1 0.0000 0.0000 0.0000 1
Sb1 0.4999 0.0000 0.4931 1
Sb2 0.5017 0.5000 0.2741 1
Te1 0.4984 0.5000 0.7523 1
```

Largest 8 diffraction maxima, most intense first, 5 to 70 degrees two-theta:
| h k l | two_theta | intensity |
| --- | --- | --- |
| 0 1 2 | 28.14 | 100 |
| 1 1 -2 | 39.60 | 51 |
| 1 0 0 | 27.29 | 35 |
| 0 0 1 | 9.57 | 32 |
| 2 1 -2 | 64.13 | 26 |
| 1 1 -1 | 35.69 | 19 |
| 0 0 4 | 39.00 | 19 |
| 1 0 1 | 28.99 | 19 |

***

K2SbTe3: simulated X-ray diffraction stick pattern (Cu Kα (weighted mean of Kα1 and Kα2)), based on a cell relaxed with GGA-PBE.

Structure:
```
data_K2SbTe3
_cell_length_a 14.1804
_cell_length_b 9.2264
_cell_length_c 7.8619
_cell_angle_alpha 90.00
_cell_angle_beta 98.14
_cell_angle_gamma 90.00
_space_group_name_H-M_alt 'C 1 2/c 1'
_space_group_IT_number 15
loop_
_space_group_symop_operation_xyz
'x,y,z'
'-x,-y,-z'
'-x,y,-z+1/2'
'x,-y,z+1/2'
'x+1/2,y+1/2,z'
'-x+1/2,-y+1/2,-z'
'-x+1/2,y+1/2,-z+1/2'
'x+1/2,-y+1/2,z+1/2'
loop_
_atom_site_label
_atom_site_fract_x
_atom_site_fract_y
_atom_site_fract_z
_atom_site_occupancy
K1 0.1539 0.1643 0.1676 1
Sb1 0.0000 0.4231 0.7500 1
Te1 0.0000 0.1230 0.7500 1
Te2 0.1494 0.4640 0.5143 1
```

Largest 8 diffraction maxima, most intense first, 5 to 70 degrees two-theta:
| h k l | two_theta | intensity |
| --- | --- | --- |
| 1 1 0 | 11.48 | 100 |
| 2 0 2 | 27.74 | 59 |
| 4 0 -2 | 31.83 | 57 |
| 0 2 0 | 19.24 | 55 |
| 1 3 1 | 32.26 | 54 |
| 6 0 0 | 38.47 | 51 |
| 2 0 0 | 12.61 | 43 |
| 3 1 -1 | 22.87 | 42 |

***

K2USbTe5: simulated X-ray diffraction stick pattern (Cu Kα (weighted mean of Kα1 and Kα2)), based on a cell relaxed with GGA-PBE.

Structure:
```
data_K2USbTe5
_cell_length_a 4.6501
_cell_length_b 19.6085
_cell_length_c 15.3845
_cell_angle_alpha 90.00
_cell_angle_beta 90.00
_cell_angle_gamma 90.00
_space_group_name_H-M_alt 'C m c 21'
_space_group_IT_number 36
loop_
_space_group_symop_operation_xyz
'x,y,z'
'-x,-y,z+1/2'
'-x,y,z'
'x,-y,z+1/2'
'x+1/2,y+1/2,z'
'-x+1/2,-y+1/2,z+1/2'
'-x+1/2,y+1/2,z'
'x+1/2,-y+1/2,z+1/2'
loop_
_atom_site_label
_atom_site_fract_x
_atom_site_fract_y
_atom_site_fract_z
_atom_site_occupancy
K1 0.0000 0.1090 0.0000 1
K2 0.0000 0.1362 0.6431 1
U1 0.0000 0.2098 0.3585 1
Sb1 0.0000 0.4629 0.7614 1
Te1 0.0000 0.0569 0.3915 1
Te2 0.0000 0.2872 0.9839 1
Te3 0.0000 0.3162 0.7265 1
Te4 0.0000 0.3541 0.3223 1
Te5 0.0000 0.4930 0.0884 1
```

Largest 8 diffraction maxima, most intense first, 5 to 70 degrees two-theta:
| h k l | two_theta | intensity |
| --- | --- | --- |
| 1 1 3 | 26.27 | 100 |
| 0 6 1 | 27.91 | 61 |
| 0 0 2 | 11.50 | 50 |
| 0 2 1 | 10.70 | 39 |
| 2 0 0 | 38.73 | 30 |
| 1 7 4 | 44.50 | 28 |
| 1 1 2 | 22.80 | 27 |
| 0 2 2 | 14.64 | 27 |

***

K6Tl2Sb3: simulated X-ray diffraction stick pattern (Cu Kα (weighted mean of Kα1 and Kα2)), based on a cell relaxed with GGA-PBE.

Structure:
```
data_K6Tl2Sb3
_cell_length_a 10.0906
_cell_length_b 17.3051
_cell_length_c 19.9682
_cell_angle_alpha 90.00
_cell_angle_beta 104.03
_cell_angle_gamma 90.00
_space_group_name_H-M_alt 'C 1 2/c 1'
_space_group_IT_number 15
loop_
_space_group_symop_operation_xyz
'x,y,z'
'-x,-y,-z'
'-x,y,-z+1/2'
'x,-y,z+1/2'
'x+1/2,y+1/2,z'
'-x+1/2,-y+1/2,-z'
'-x+1/2,y+1/2,-z+1/2'
'x+1/2,-y+1/2,z+1/2'
loop_
_atom_site_label
_atom_site_fract_x
_atom_site_fract_y
_atom_site_fract_z
_atom_site_occupancy
K1 0.0000 0.0241 0.2500 1
K2 0.0000 0.2000 0.7500 1
K3 0.0332 0.0941 0.4452 1
K4 0.0554 0.2722 0.9462 1
K5 0.0885 0.4254 0.4455 1
K6 0.1689 0.2442 0.3223 1
K7 0.1715 0.4150 0.8217 1
Tl1 0.1470 0.4143 0.2275 1
Tl2 0.2095 0.0850 0.9296 1
Sb1 0.1213 0.0884 0.6303 1
Sb2 0.1577 0.2699 0.1350 1
Sb3 0.1660 0.4381 0.6378 1
```

Largest 8 diffraction maxima, most intense first, 5 to 70 degrees two-theta:
| h k l | two_theta | intensity |
| --- | --- | --- |
| 0 6 0 | 30.99 | 100 |
| 0 2 1 | 11.20 | 78 |
| 1 1 2 | 15.23 | 51 |
| 1 3 7 | 39.19 | 33 |
| 3 3 -1 | 30.84 | 31 |
| 3 3 -3 | 31.63 | 30 |
| 0 2 0 | 10.22 | 29 |
| 1 3 -3 | 21.17 | 29 |